(1)
This entry pairs a crystal structure of NbMoH2 with its calculated powder diffractogram. Radiation: λ = 1.5418 Å (Cu Kα). Structure: a DFT-relaxed cell (PBE, Alexandria).

Main lines, in order of falling intensity (5° ≤ 2θ ≤ 70°):
index  d (Å)  I (rel.)
0 1 2  2.479  100
1 0 4  2.166  65
0 0 6  2.570  37
0 1 8  1.552  23
1 1 0  1.512  21

Cell and atoms:
```
data_NbMoH2
_symmetry_space_group_name_H-M 'R -3 m'
_symmetry_Int_Tables_number 166
_symmetry_space_group_name_Hall '-R 3 2"'
_cell_length_a 3.0233
_cell_length_b 3.0233
_cell_length_c 15.4208
_cell_angle_alpha 90.00
_cell_angle_beta 90.00
_cell_angle_gamma 120.00
loop_
_atom_site_label
_atom_site_type_symbol
_atom_site_fract_x
_atom_site_fract_y
_atom_site_fract_z
Nb1 Nb 0.0000 0.0000 0.0000
Mo1 Mo 0.0000 0.0000 0.5000
H1 H 0.0000 0.0000 0.1237
```

***

(2)
This entry pairs a crystal structure of Nb5Mo2H12 with its calculated powder diffractogram. Radiation: λ = 1.5418 Å (Cu Kα). Structure: a DFT-relaxed cell (PBE, Alexandria).

Main lines, in order of falling intensity (5° ≤ 2θ ≤ 70°):
index  d (Å)  I (rel.)
2 0 2  2.352  100
1 1 -2  2.668  91
3 1 0  2.799  73
0 2 1  2.448  38
4 0 0  2.462  33
4 0 -2  2.153  29
3 1 -1  2.744  28
2 2 -1  2.275  24
2 2 1  2.119  24
4 2 -3  1.470  21

Cell and atoms:
```
data_Nb5Mo2H12
_symmetry_space_group_name_H-M 'C 1 2/m 1'
_symmetry_Int_Tables_number 12
_symmetry_space_group_name_Hall '-C 2y'
_cell_length_a 10.097
_cell_length_b 5.359
_cell_length_c 6.178
_cell_angle_alpha 90.00
_cell_angle_beta 102.74
_cell_angle_gamma 90.00
loop_
_atom_site_label
_atom_site_type_symbol
_atom_site_fract_x
_atom_site_fract_y
_atom_site_fract_z
Nb1 Nb 0.000 0.000 0.000
Nb2 Nb 0.190 0.500 0.873
Nb3 Nb 0.220 0.500 0.327
Mo1 Mo 0.000 0.243 0.500
H1 H 0.008 0.500 0.283
H2 H 0.065 0.000 0.331
H3 H 0.155 0.247 0.087
H4 H 0.186 0.306 0.597
```

***

(3)
This entry pairs a crystal structure of TaNbSiMoH with its calculated powder diffractogram. Radiation: λ = 1.5418 Å (Cu Kα). Structure: a DFT-relaxed cell (PBE, Alexandria).

Main lines, in order of falling intensity (5° ≤ 2θ ≤ 70°):
index  d (Å)  I (rel.)
1 1 1  2.501  100
1 1 3  2.041  29
0 0 2  4.995  24
0 1 3  2.329  24
1 0 2  3.234  24
2 0 0  2.121  22
1 0 4  2.152  18
2 1 3  1.568  14
1 1 5  1.581  10
2 0 4  1.617  10

Cell and atoms:
```
data_TaNbSiMoH
_symmetry_space_group_name_H-M 'A m m 2'
_symmetry_Int_Tables_number 38
_symmetry_space_group_name_Hall 'A 2 -2'
_cell_length_a 4.243
_cell_length_b 3.258
_cell_length_c 9.990
_cell_angle_alpha 90.00
_cell_angle_beta 90.00
_cell_angle_gamma 90.00
loop_
_atom_site_label
_atom_site_type_symbol
_atom_site_fract_x
_atom_site_fract_y
_atom_site_fract_z
Ta1 Ta 0.000 0.000 0.000
Nb1 Nb 0.500 0.000 0.709
Si1 Si 0.000 0.000 0.274
Mo1 Mo 0.500 0.000 0.437
H1 H 0.500 0.000 0.046
```

***

(4)
This entry pairs a crystal structure of TaNbSiMoH with its calculated powder diffractogram. Radiation: λ = 1.5418 Å (Cu Kα). Structure: a DFT-relaxed cell (PBE, Alexandria).

Main lines, in order of falling intensity (5° ≤ 2θ ≤ 70°):
index  d (Å)  I (rel.)
1 1 0  2.338  100
0 1 2  2.282  81
1 0 2  2.269  79
0 0 1  6.272  50
0 1 1  2.939  40
1 0 1  2.911  39
1 1 3  1.558  20
0 2 0  1.663  18
2 0 0  1.643  17
1 1 1  2.191  15

Cell and atoms:
```
data_TaNbSiMoH
_symmetry_space_group_name_H-M 'P m m 2'
_symmetry_Int_Tables_number 25
_symmetry_space_group_name_Hall 'P 2 -2'
_cell_length_a 3.287
_cell_length_b 3.327
_cell_length_c 6.272
_cell_angle_alpha 90.00
_cell_angle_beta 90.00
_cell_angle_gamma 90.00
loop_
_atom_site_label
_atom_site_type_symbol
_atom_site_fract_x
_atom_site_fract_y
_atom_site_fract_z
Ta1 Ta 0.000 0.000 0.000
Nb1 Nb 0.500 0.500 0.325
Si1 Si 0.000 0.000 0.556
Mo1 Mo 0.500 0.500 0.767
H1 H 0.000 0.500 0.167
```

***

(5)
This entry pairs a crystal structure of TaNbSiMoH with its calculated powder diffractogram. Radiation: λ = 1.5418 Å (Cu Kα). Structure: a DFT-relaxed cell (PBE, Alexandria).

Main lines, in order of falling intensity (5° ≤ 2θ ≤ 70°):
index  d (Å)  I (rel.)
1 1 1  2.521  100
1 1 -1  2.536  88
2 0 0  4.937  57
0 0 2  2.138  52
4 0 0  2.469  51
3 1 -1  2.060  50
3 1 0  2.332  50
3 1 1  2.036  36
3 1 2  1.566  34
2 0 -1  3.264  30

Cell and atoms:
```
data_TaNbSiMoH
_symmetry_space_group_name_H-M 'C 1 m 1'
_symmetry_Int_Tables_number 8
_symmetry_space_group_name_Hall 'C -2y'
_cell_length_a 9.876
_cell_length_b 3.306
_cell_length_c 4.278
_cell_angle_alpha 90.00
_cell_angle_beta 91.12
_cell_angle_gamma 90.00
loop_
_atom_site_label
_atom_site_type_symbol
_atom_site_fract_x
_atom_site_fract_y
_atom_site_fract_z
Ta1 Ta 0.000 0.000 0.000
Nb1 Nb 0.222 0.500 0.474
Si1 Si 0.278 0.000 0.983
Mo1 Mo 0.443 0.000 0.484
H1 H 0.077 0.500 0.792
```

***

(6)
This entry pairs a crystal structure of TaNiMoH with its calculated powder diffractogram. Radiation: λ = 1.5418 Å (Cu Kα). Structure: a DFT-relaxed cell (PBE, Alexandria).

Main lines, in order of falling intensity (5° ≤ 2θ ≤ 70°):
index  d (Å)  I (rel.)
1 3 -1  2.306  100
1 1 0  2.718  22
0 0 1  2.046  19
0 4 0  3.081  17
2 0 -1  1.902  15
0 2 0  6.162  14
2 0 0  1.395  13
0 6 0  2.054  12
1 7 0  1.488  11
0 6 1  1.450  8

Cell and atoms:
```
data_TaNiMoH
_symmetry_space_group_name_H-M 'C 1 2 1'
_symmetry_Int_Tables_number 5
_symmetry_space_group_name_Hall 'C 2y'
_cell_length_a 3.805
_cell_length_b 12.324
_cell_length_c 2.791
_cell_angle_alpha 90.00
_cell_angle_beta 132.84
_cell_angle_gamma 90.00
loop_
_atom_site_label
_atom_site_type_symbol
_atom_site_fract_x
_atom_site_fract_y
_atom_site_fract_z
Ta1 Ta 0.000 0.000 0.000
Ni1 Ni 0.000 0.349 0.000
Mo1 Mo 0.000 0.707 0.000
H1 H 0.000 0.106 0.500
```

***

(7)
This entry pairs a crystal structure of TaNiMoH with its calculated powder diffractogram. Radiation: λ = 1.5418 Å (Cu Kα). Structure: a DFT-relaxed cell (PBE, Alexandria).

Main lines, in order of falling intensity (5° ≤ 2θ ≤ 70°):
index  d (Å)  I (rel.)
1 0 3  2.294  100
1 1 0  1.963  34
1 0 1  2.707  20
1 1 6  1.413  17
0 0 6  2.035  15
0 0 2  6.104  14
0 0 4  3.052  13
2 0 0  1.388  11
1 0 7  1.477  9
1 1 4  1.651  9

Cell and atoms:
```
data_TaNiMoH
_symmetry_space_group_name_H-M 'I 4 m m'
_symmetry_Int_Tables_number 107
_symmetry_space_group_name_Hall 'I 4 -2'
_cell_length_a 2.777
_cell_length_b 2.777
_cell_length_c 12.208
_cell_angle_alpha 90.00
_cell_angle_beta 90.00
_cell_angle_gamma 90.00
loop_
_atom_site_label
_atom_site_type_symbol
_atom_site_fract_x
_atom_site_fract_y
_atom_site_fract_z
Ta1 Ta 0.000 0.000 0.000
Ni1 Ni 0.000 0.000 0.347
Mo1 Mo 0.000 0.000 0.697
H1 H 0.000 0.000 0.171
```

***

(8)
This entry pairs a crystal structure of TaNiMoH with its calculated powder diffractogram. Radiation: λ = 1.5418 Å (Cu Kα). Structure: a DFT-relaxed cell (PBE, Alexandria).

Main lines, in order of falling intensity (5° ≤ 2θ ≤ 70°):
index  d (Å)  I (rel.)
1 3 0  2.274  100
0 0 1  2.177  22
0 2 0  6.554  21
0 6 0  2.185  21
1 1 -1  2.610  15
0 6 1  1.542  14
2 0 -1  1.683  10
0 4 0  3.277  9
1 7 0  1.532  6
0 4 1  1.813  4

Cell and atoms:
```
data_TaNiMoH
_symmetry_space_group_name_H-M 'C 1 2 1'
_symmetry_Int_Tables_number 5
_symmetry_space_group_name_Hall 'C 2y'
_cell_length_a 3.367
_cell_length_b 13.109
_cell_length_c 2.750
_cell_angle_alpha 90.00
_cell_angle_beta 127.68
_cell_angle_gamma 90.00
loop_
_atom_site_label
_atom_site_type_symbol
_atom_site_fract_x
_atom_site_fract_y
_atom_site_fract_z
Ta1 Ta 0.000 0.000 0.000
Ni1 Ni 0.000 0.325 0.000
Mo1 Mo 0.000 0.674 0.000
H1 H 0.000 0.391 0.500
```

***

(9)
This entry pairs a crystal structure of TaNiMoH with its calculated powder diffractogram. Radiation: λ = 1.5418 Å (Cu Kα). Structure: a DFT-relaxed cell (PBE, Alexandria).

Main lines, in order of falling intensity (5° ≤ 2θ ≤ 70°):
index  d (Å)  I (rel.)
0 0 3  2.198  100
1 1 1  2.298  74
0 0 1  6.595  41
2 0 -1  2.239  31
1 1 -1  2.539  19
0 2 0  1.609  13
2 0 2  1.642  11
2 0 0  2.179  11
0 0 2  3.298  11
2 0 -4  1.505  9

Cell and atoms:
```
data_TaNiMoH
_symmetry_space_group_name_H-M 'C 1 m 1'
_symmetry_Int_Tables_number 8
_symmetry_space_group_name_Hall 'C -2y'
_cell_length_a 4.495
_cell_length_b 3.218
_cell_length_c 6.804
_cell_angle_alpha 90.00
_cell_angle_beta 104.23
_cell_angle_gamma 90.00
loop_
_atom_site_label
_atom_site_type_symbol
_atom_site_fract_x
_atom_site_fract_y
_atom_site_fract_z
Ta1 Ta 0.000 0.000 0.000
Ni1 Ni 0.111 0.500 0.312
Mo1 Mo 0.375 0.000 0.653
H1 H 0.454 0.500 0.486
```